Record 1
# AcIn6Pd6
Calculated X-ray powder pattern, Cu Kα (weighted mean of Kα1 and Kα2). Input: a cell relaxed with PBE.

Top 10 peaks for 10 to 90 degrees two-theta, sorted by position:
hkl 1 0 3, d 2.855, rel. 58
hkl 2 0 0, d 2.831, rel. 31
hkl 0 0 4, d 2.479, rel. 37
hkl 2 0 2, d 2.459, rel. 61
hkl 1 2 3, d 2.437, rel. 100
hkl 2 2 0, d 2.422, rel. 54
hkl 1 3 2, d 2.392, rel. 56
hkl 0 4 0, d 2.339, rel. 48
hkl 2 2 2, d 2.176, rel. 67
hkl 2 0 6, d 1.427, rel. 32

abc: 5.6626 9.3541 9.9157
angles: 90.00 90.00 90.00
Space group Immm (No. 71)
Asymmetric unit:
Ac: 0.0000 0.0000 0.0000 x2
In: 0.0000 0.0000 0.3474 x4
In: 0.0000 0.3443 0.0000 x4
In: 0.0000 0.5000 0.3114 x4
Pd: 0.0000 0.2663 0.5000 x4
Pd: 0.2500 0.2500 0.2500 x8



Record 2
# Tm3Ga4Co4
Calculated X-ray powder pattern, Cu Kα (weighted mean of Kα1 and Kα2). Input: a cell relaxed with PBE.

Top 10 peaks for 10 to 90 degrees two-theta, sorted by position:
hkl 0 1 3, d 3.696, rel. 14
hkl 1 2 1, d 2.500, rel. 100
hkl 1 1 4, d 2.435, rel. 80
hkl 0 0 6, d 2.261, rel. 18
hkl 2 0 0, d 2.086, rel. 33
hkl 0 3 3, d 1.933, rel. 23
hkl 1 2 5, d 1.855, rel. 19
hkl 0 4 0, d 1.603, rel. 17
hkl 2 3 3, d 1.418, rel. 19
hkl 2 4 0, d 1.271, rel. 16

abc: 4.1724 6.4158 13.5667
angles: 90.00 90.00 90.00
Space group Immm (No. 71)
Asymmetric unit:
Tm: 0.0000 0.0000 0.0000 x2
Tm: 0.0000 0.5000 0.1374 x4
Ga: 0.0000 0.0000 0.2113 x4
Ga: 0.0000 0.1960 0.5000 x4
Co: 0.0000 0.3041 0.3269 x8



Record 3
# MgFe6Ge12
Calculated X-ray powder pattern, Cu Kα (weighted mean of Kα1 and Kα2). Input: a cell relaxed with PBE.

Top 10 peaks for 10 to 90 degrees two-theta, sorted by position:
hkl 2 2 0, d 2.992, rel. 10
hkl 2 2 2, d 2.443, rel. 22
hkl 3 1 2, d 2.262, rel. 100
hkl 4 0 0, d 2.116, rel. 17
hkl 3 3 0, d 1.995, rel. 16
hkl 4 2 0, d 1.892, rel. 13
hkl 5 3 0, d 1.451, rel. 15
hkl 6 0 0, d 1.410, rel. 12
hkl 5 2 3, d 1.373, rel. 23
hkl 5 3 4, d 1.197, rel. 10

abc: 8.4622 8.4622 8.4622
angles: 90.00 90.00 90.00
Space group Im-3 (No. 204)
Asymmetric unit:
Mg: 0.0000 0.0000 0.0000 x2
Fe: 0.0000 0.1425 0.5000 x12
Ge: 0.0000 0.2824 0.1823 x24



Record 4
# CsLi2Pb4
Calculated X-ray powder pattern, Cu Kα (weighted mean of Kα1 and Kα2). Input: a cell relaxed with PBE.

Top 10 peaks for 10 to 90 degrees two-theta, sorted by position:
hkl 1 1 0, d 6.904, rel. 52
hkl 1 1 1, d 3.870, rel. 37
hkl 2 1 1, d 3.190, rel. 100
hkl 3 1 0, d 3.088, rel. 50
hkl 2 2 1, d 2.777, rel. 63
hkl 3 1 1, d 2.576, rel. 41
hkl 4 1 0, d 2.368, rel. 29
hkl 0 0 2, d 2.336, rel. 27
hkl 3 1 2, d 1.863, rel. 24
hkl 5 0 1, d 1.802, rel. 23

abc: 9.7638 9.7638 4.6727
angles: 90.00 90.00 90.00
Space group P4_2/mnm (No. 136)
Asymmetric unit:
Cs: 0.0000 0.0000 0.0000 x2
Li: 0.2203 0.2203 0.5000 x4
Pb: 0.0715 0.6612 0.5000 x8



Record 5
# Zn2InRh
Calculated X-ray powder pattern, Cu Kα (weighted mean of Kα1 and Kα2). Input: a cell relaxed with PBE.

Top 10 peaks for 10 to 90 degrees two-theta, sorted by position:
hkl 0 0 3, d 8.329, rel. 14
hkl 1 0 4, d 2.456, rel. 100
hkl 0 0 12, d 2.082, rel. 19
hkl 0 1 8, d 2.030, rel. 54
hkl 1 1 0, d 1.542, rel. 23
hkl 1 0 16, d 1.348, rel. 14
hkl 0 2 4, d 1.306, rel. 13
hkl 1 1 12, d 1.239, rel. 19
hkl 2 0 8, d 1.228, rel. 10
hkl 0 1 20, d 1.132, rel. 7

abc: 3.0840 3.0840 24.9872
angles: 90.00 90.00 120.00
Space group R3m (No. 160, hexagonal axes)
Asymmetric unit:
Zn: 0.0000 0.0000 0.0000 x3
Zn: 0.0000 0.0000 0.2530 x3
In: 0.0000 0.0000 0.4938 x3
Rh: 0.0000 0.0000 0.7425 x3



Record 6
# Pa2Zn16Cu
Calculated X-ray powder pattern, Cu Kα (weighted mean of Kα1 and Kα2). Input: a cell relaxed with PBE.

Top 10 peaks for 10 to 90 degrees two-theta, sorted by position:
hkl 1 1 3, d 3.128, rel. 46
hkl 3 0 0, d 2.580, rel. 44
hkl 0 2 4, d 2.504, rel. 30
hkl 2 2 0, d 2.234, rel. 61
hkl 0 3 3, d 2.223, rel. 100
hkl 0 0 6, d 2.190, rel. 31
hkl 2 0 5, d 2.174, rel. 19
hkl 2 2 6, d 1.563, rel. 27
hkl 6 0 0, d 1.290, rel. 23
hkl 0 3 9, d 1.270, rel. 19

abc: 8.9371 8.9371 13.1376
angles: 90.00 90.00 120.00
Space group R3m (No. 160, hexagonal axes)
Asymmetric unit:
Pa: 0.0000 0.0000 0.0000 x3
Pa: 0.0000 0.0000 0.3234 x3
Zn: 0.0000 0.0000 0.7607 x3
Zn: 0.0000 0.2928 0.6603 x18
Zn: 0.0055 0.5027 0.1606 x9
Zn: 0.0061 0.5031 0.8114 x9
Zn: 0.1710 0.3419 0.8441 x9
Cu: 0.0000 0.0000 0.5569 x3